The following is a simulated powder diffractogram of Mn4CoO8. It was derived from a structure optimized by DFT (GGA+U), using Cu Kα (λ = 1.5418 Å).
Peak positions follow from Bragg's law for the DFT cell and can differ from measured ones.

Cell lengths 10.268, 5.789, 6.044 Å; angles 90.00, 121.83, 90.00 degrees
Space group C2/m (No. 12)
Unique sites:
Mn1 0.000 0.000 0.000 x2
Mn2 0.000 0.500 0.500 x2
Mn3 0.250 0.250 0.000 x4
Co1 0.000 0.500 0.000 x2
O1 0.027 0.258 0.804 x8
O2 0.224 0.500 0.189 x4
O3 0.247 0.500 0.785 x4

Main lines, in order of rising 2θ (2θ = 15–90°):
2theta  I_rel
17.3  100
18.4  25
36.2  16
41.4  32
43.3  58
63.2  17